Computed powder diffraction line list of NdMnFeBiO6 for Cu Kα (λ = 1.5418 Å), from a cell relaxed with GGA+U.
Peak positions follow from Bragg's law for the DFT cell and can differ from measured ones.

Largest 8 diffraction maxima, by angle, 2θ = 10–90°:
- 2θ = 21.46°, rel. 30, (0 2 0)
- 2θ = 30.41°, rel. 69, (0 2 2)
- 2θ = 31.50°, rel. 19, (1 0 -2)
- 2θ = 31.79°, rel. 100, (1 0 2)
- 2θ = 38.70°, rel. 22, (1 2 2)
- 2θ = 43.72°, rel. 17, (0 4 0)
- 2θ = 54.93°, rel. 20, (1 2 4)
- 2θ = 55.07°, rel. 17, (1 4 2)

Structural model:
a = 3.8423 Å, b = 8.2823 Å, c = 8.3442 Å
α = 90.00°, β = 90.56°, γ = 90.00°
Space group P2_1 (No. 4)
Inequivalent atoms, fractional coordinates:
Nd 0.0282 0.0000 0.0080 [2 per cell]
Mn 0.4863 0.3025 0.2432 [2 per cell]
Fe 0.4822 0.2648 0.7508 [2 per cell]
Bi 0.0835 0.0034 0.4475 [2 per cell]
O 0.0151 0.7972 0.7933 [2 per cell]
O 0.0147 0.8270 0.2554 [2 per cell]
O 0.4725 0.0690 0.2577 [2 per cell]
O 0.4751 0.3243 0.9746 [2 per cell]
O 0.4859 0.3302 0.5099 [2 per cell]
O 0.4954 0.0413 0.7916 [2 per cell]